[1]
Li4V2Fe3Co3O16: computed PXRD pattern (a wavelength of 1.5418 Å), based on a GGA+U-relaxed structure.
Peak positions follow from Bragg's law for the DFT cell and can differ from measured ones.

Structural model:
```
data_Li4V2Fe3Co3O16
_cell_length_a 5.8261
_cell_length_b 5.8498
_cell_length_c 9.3866
_cell_angle_alpha 89.75
_cell_angle_beta 89.94
_cell_angle_gamma 60.25
_space_group_name_H-M_alt 'P 1'
_space_group_IT_number 1
loop_
_space_group_symop_operation_xyz
'x,y,z'
loop_
_atom_site_label
_atom_site_fract_x
_atom_site_fract_y
_atom_site_fract_z
Li1 0.0000 0.0000 0.0000
Li2 0.0027 0.9950 0.4976
Li3 0.3277 0.3479 0.4025
Li4 0.6584 0.6872 0.9064
V1 0.3288 0.3491 0.0026
V2 0.6605 0.6758 0.5010
Fe1 0.1653 0.1875 0.7248
Fe2 0.6515 0.1854 0.7236
Fe3 0.8235 0.3569 0.2256
Co1 0.1685 0.6650 0.7193
Co2 0.3385 0.8340 0.2203
Co3 0.8224 0.8408 0.2196
O1 0.0012 0.0004 0.8087
O2 0.0058 0.0013 0.3060
O3 0.0349 0.5077 0.8491
O4 0.1549 0.2066 0.0884
O5 0.1666 0.6698 0.1031
O6 0.3270 0.3499 0.6109
O7 0.3441 0.8340 0.5967
O8 0.4621 0.5062 0.8494
O9 0.4729 0.0583 0.8579
O10 0.5180 0.9676 0.3424
O11 0.5237 0.5252 0.3601
O12 0.6493 0.6923 0.1169
O13 0.6502 0.1832 0.0970
O14 0.8259 0.8329 0.5970
O15 0.8278 0.3567 0.5915
O16 0.9532 0.5501 0.3470
```

Largest 6 diffraction maxima, low angle first, 2θ from 10° to 90°:
two_theta, Rel. int., index
18.9, 100.0, 0 0 2
19.9, 76.6, 0 1 1
20.0, 73.9, 1 1 1
36.8, 44.0, 2 2 1
40.5, 38.8, 0 2 -2
46.1, 64.5, 2 0 -3

***

[2]
Li4V2Fe3Co3O16: computed PXRD pattern (a wavelength of 1.5418 Å), based on a GGA+U-relaxed structure.
Peak positions follow from Bragg's law for the DFT cell and can differ from measured ones.

Structural model:
```
data_Li4V2Fe3Co3O16
_cell_length_a 10.0076
_cell_length_b 5.7487
_cell_length_c 9.3910
_cell_angle_alpha 90.00
_cell_angle_beta 91.48
_cell_angle_gamma 90.00
_space_group_name_H-M_alt 'C 1 m 1'
_space_group_IT_number 8
loop_
_space_group_symop_operation_xyz
'x,y,z'
'x,-y,z'
'x+1/2,y+1/2,z'
'x+1/2,-y+1/2,z'
loop_
_atom_site_label
_atom_site_fract_x
_atom_site_fract_y
_atom_site_fract_z
Li1 0.0000 0.0000 0.0000
Li2 0.0014 0.0000 0.4989
Li3 0.1727 0.5000 0.0987
Li4 0.3416 0.0000 0.5928
V1 0.1741 0.5000 0.4891
V2 0.3401 0.0000 0.9926
Fe1 0.0938 0.2679 0.7722
Fe2 0.1836 0.0000 0.2697
Co1 0.3320 0.5000 0.7786
Co2 0.4180 0.2433 0.2789
O1 0.0019 0.0000 0.1922
O2 0.0023 0.0000 0.6949
O3 0.0264 0.5000 0.6391
O4 0.0906 0.2607 0.4015
O5 0.1761 0.5000 0.8900
O6 0.1785 0.0000 0.9085
O7 0.2518 0.2872 0.6473
O8 0.2722 0.2263 0.1476
O9 0.3347 0.5000 0.3906
O10 0.3435 0.0000 0.3849
O11 0.4161 0.2419 0.8989
O12 0.4809 0.0000 0.1598
```

Largest 6 diffraction maxima, low angle first, 2θ from 10° to 90°:
two_theta, Rel. int., index
18.9, 100.0, 0 0 2
20.1, 47.9, 1 1 -1
20.3, 64.2, 1 1 1
36.9, 34.1, 4 0 -1
37.5, 40.5, 2 2 1
64.6, 34.1, 6 2 0